This entry pairs a crystal structure of UFeNi2O6 with its calculated powder XRD pattern. Radiation: CuKα. Structure: a DFT-relaxed cell (GGA+U, Alexandria).
Intensities are scaled so that the largest is 100.

Principal peaks in the range 2θ from 10° to 90°, in order of rising 2θ:
h k l	d (Å)	I/Imax
1 0 0	4.385	67
1 1 0	3.887	80
1 0 -1	2.852	100
1 1 2	2.829	48
1 2 1	2.654	99
2 1 1	2.637	47
1 -1 1	2.323	47
2 1 -1	1.792	52

Atomic structure:
Cell lengths 5.274, 5.305, 5.692 Å; angles 62.66, 63.00, 60.27 degrees
Atoms (fractional coordinates):
U 0.000 0.000 0.000
Fe 0.504 0.503 0.485
Ni 0.305 0.307 0.084
Ni 0.798 0.798 0.602
O 0.087 0.711 0.796
O 0.208 0.597 0.288
O 0.405 0.087 0.794
O 0.603 0.914 0.282
O 0.705 0.408 0.788
O 0.916 0.203 0.282